# 1
Diffraction record for Li2Ca3Cd9. The XRD peak list is computed, not measured: it uses DFT lattice parameters and positions (GGA-PBE) and copper Kα.

Structure:
Cell lengths 8.8636, 8.8636, 8.8636 Å; angles 148.03, 108.27, 80.69 degrees
Fractional coordinates of all 14 atoms:
Li 0.1722 0.0000 0.1722
Li 0.8278 0.0000 0.8278
Ca 0.2094 0.2094 0.0000
Ca 0.5000 0.5000 0.0000
Ca 0.7906 0.7906 0.0000
Cd 0.0000 0.5000 0.5000
Cd 0.0887 0.3692 0.7195
Cd 0.2111 0.8498 0.3612
Cd 0.3503 0.6308 0.7195
Cd 0.4886 0.8498 0.6388
Cd 0.5114 0.1502 0.3612
Cd 0.6497 0.3692 0.2805
Cd 0.7889 0.1502 0.6388
Cd 0.9113 0.6308 0.2805

Top 10 peaks for 10° ≤ 2θ ≤ 80°, in order of rising 2θ:
2θ/deg, intensity
20.10, 46
21.53, 21
26.39, 34
31.64, 100
32.06, 50
36.82, 51
39.89, 45
41.69, 39
49.29, 29
62.96, 29

***

# 2
Diffraction record for Y7Ho3. The XRD peak list is computed, not measured: it uses DFT lattice parameters and positions (GGA-PBE) and copper Kα.

Structure:
Cell lengths 9.4615, 9.4615, 7.0528 Å; angles 111.83, 111.83, 33.47 degrees
Fractional coordinates of all 10 atoms:
Y 0.0000 0.0000 0.0000
Y 0.1998 0.1998 0.7001
Y 0.3903 0.3903 0.1399
Y 0.3903 0.3903 0.6399
Y 0.6097 0.6097 0.3601
Y 0.6097 0.6097 0.8601
Y 0.8002 0.8002 0.2999
Ho 0.0000 0.0000 0.5000
Ho 0.1994 0.1994 0.1998
Ho 0.8006 0.8006 0.8002

Top 10 peaks for 10° ≤ 2θ ≤ 80°, in order of rising 2θ:
2θ/deg, intensity
30.67, 83
31.42, 100
32.87, 46
33.26, 39
34.31, 14
41.32, 16
47.46, 28
57.78, 17
58.73, 15
61.87, 19

***

# 3
Diffraction record for TbPr2As2Se2. The XRD peak list is computed, not measured: it uses DFT lattice parameters and positions (GGA-PBE) and copper Kα.

Structure:
Cell lengths 8.3673, 8.3673, 8.3673 Å; angles 142.66, 142.66, 53.84 degrees
Fractional coordinates of all 7 atoms:
Tb 0.0000 0.0000 0.0000
Pr 0.3776 0.3776 0.0000
Pr 0.6224 0.6224 0.0000
As 0.0000 0.5000 0.5000
As 0.5000 0.0000 0.5000
Se 0.1892 0.1892 0.0000
Se 0.8108 0.8108 0.0000

Top 10 peaks for 10° ≤ 2θ ≤ 80°, in order of rising 2θ:
2θ/deg, intensity
11.86, 44
23.48, 86
24.42, 32
33.45, 100
33.72, 26
34.40, 89
48.03, 36
48.75, 72
60.44, 29
70.86, 29

***

# 4
Diffraction record for Ho4TmPb5. The XRD peak list is computed, not measured: it uses DFT lattice parameters and positions (GGA-PBE) and copper Kα.

Structure:
Cell lengths 7.6703, 7.6703, 7.6703 Å; angles 99.59, 99.59, 131.81 degrees
Fractional coordinates of all 10 atoms:
Ho 0.0993 0.6995 0.7987
Ho 0.3005 0.0993 0.3998
Ho 0.6995 0.9007 0.6002
Ho 0.9007 0.3005 0.2013
Tm 0.4962 0.4962 0.0000
Pb 0.2014 0.3998 0.6011
Pb 0.3998 0.7987 0.1984
Pb 0.6003 0.2014 0.8016
Pb 0.7987 0.6003 0.3989
Pb 0.9960 0.9960 0.0000

Top 10 peaks for 10° ≤ 2θ ≤ 80°, in order of rising 2θ:
2θ/deg, intensity
24.62, 2
28.50, 100
40.75, 78
48.19, 1
50.48, 28
58.99, 13
64.90, 1
66.80, 37
74.18, 28
79.53, 1